The following is a calculated powder X-ray diffraction pattern of Ac2HfVO6. It was derived from a GGA+U-relaxed structure, using Cu Kα (weighted mean of Kα1 and Kα2).
Lines closer than 0.1° are merged.

Structural model:
```
20
Lattice="5.8395 0.0000 0.0000 0.0000 5.9147 0.0000 -5.8274 0.0000 8.2862" Properties=species:S:1:pos:R:3 pbc="T T T"
Ac -0.0443 0.2341 2.0635
Ac -2.9580 2.7233 6.2065
Ac 2.9701 3.1914 2.0796
Ac 0.0564 5.6806 6.2227
Hf 2.9197 0.0000 0.0000
Hf 0.0060 2.9574 4.1431
V -2.9137 0.0000 4.1431
V 0.0000 2.9574 0.0000
O -4.5721 1.2059 7.9313
O -1.6584 1.7514 3.7882
O -4.0938 4.2331 7.8990
O -1.1801 4.6389 3.7559
O -2.4174 0.1537 6.2649
O 0.4963 2.8036 2.1218
O -0.4842 3.1111 6.1643
O 2.4295 5.7610 2.0212
O 1.1922 1.2758 4.5303
O 4.1059 1.6816 0.3872
O 1.6705 4.1633 4.4979
O 4.5842 4.7088 0.3549
```

Principal peaks in the range 2θ from 10° to 90°, most intense first:
2θ/deg  intensity
30.47  100.0
30.62  24.8
30.22  22.8
54.30  22.7
43.56  22.4
53.84  15.4
21.41  14.1
63.41  13.4
43.70  12.9
54.36  11.2
54.05  10.1
72.06  9.1